For LiScGaAu, a structure optimized by DFT (PBE) gives the computed powder diffractogram in this record (Cu Kα, 1.54184 Å).
Lines closer than 0.1° are merged.

Atomic structure:
a b c (Å): 4.539 4.539 6.417
angles (deg): 90.00 90.00 90.00
Element x y z (fractional)
Li 0.000 0.500 0.249
Li 0.500 0.000 0.751
Sc 0.000 0.000 0.500
Sc 0.500 0.500 0.000
Ga 0.000 0.000 0.000
Ga 0.500 0.500 0.500
Au 0.000 0.500 0.750
Au 0.500 0.000 0.250

Largest 10 diffraction maxima, in order of falling intensity, 10 to 90 degrees two-theta:
hkl 2 0 0, 39.72°, I = 100.0
hkl 1 0 1, 24.01°, I = 89.1
hkl 2 1 1, 46.95°, I = 46.5
hkl 3 1 2, 72.09°, I = 33.9
hkl 3 0 1, 63.14°, I = 19.4
hkl 2 2 0, 57.43°, I = 16.8
hkl 3 2 1, 77.24°, I = 14.8
hkl 4 0 0, 85.60°, I = 11.0
hkl 1 1 0, 27.80°, I = 8.5
hkl 3 1 0, 64.98°, I = 4.0